# Na5LiFe2P2C2O14
Computed powder diffraction line list, Cu Kα X-rays. Input: a crystal structure in Alexandria, relaxed with GGA+U.

Top 10 peaks for 2θ from 5° to 70°, sorted by position:
2θ/deg  d_spacing  I_rel  (hkl)
9.9  8.954  84  0 0 1
19.5  4.552  32  1 0 1
19.8  4.476  32  1 0 -1
26.0  3.433  30  1 0 2
26.9  3.319  100  0 2 0
29.9  2.986  26  0 0 3
33.3  2.691  44  0 2 2
33.5  2.673  33  1 -2 1
34.3  2.613  92  2 0 0
55.4  1.660  31  0 4 0

Cell and atoms:
```
data_Na5LiFe2P2C2O14
_space_group_name_H-M_alt 'P 1'
_space_group_IT_number 1
_space_group_name_Hall 'P 1'
_cell_length_a 5.227
_cell_length_b 6.639
_cell_length_c 8.957
_cell_angle_alpha 88.97
_cell_angle_beta 88.88
_cell_angle_gamma 89.95
loop_
_atom_site_label
_atom_site_type_symbol
_atom_site_fract_x
_atom_site_fract_y
_atom_site_fract_z
Na1 Na 0.000 0.000 0.000
Na2 Na 0.000 0.493 0.999
Na3 Na 0.013 0.733 0.346
Na4 Na 0.488 0.259 0.182
Na5 Na 0.503 0.002 0.522
Li1 Li 0.473 0.529 0.554
Fe1 Fe 0.035 0.253 0.611
Fe2 Fe 0.471 0.747 0.910
P1 P 0.551 0.252 0.843
P2 P 0.961 0.746 0.675
C1 C 0.524 0.737 0.211
C2 C 0.972 0.249 0.320
O1 O 0.024 0.940 0.581
O2 O 0.072 0.568 0.582
O3 O 0.083 0.751 0.831
O4 O 0.198 0.245 0.379
O5 O 0.304 0.741 0.144
O6 O 0.426 0.267 0.688
O7 O 0.467 0.059 0.933
O8 O 0.472 0.434 0.943
O9 O 0.535 0.729 0.355
O10 O 0.663 0.724 0.693
O11 O 0.732 0.743 0.128
O12 O 0.771 0.260 0.408
O13 O 0.848 0.251 0.823
O14 O 0.950 0.242 0.177
```